Structure and simulated XRD peak list of Mo3P4O16 (a structure optimized by DFT (PBE+U); Cu Kα, 1.54184 Å).
No peak broadening, texture or thermal motion is included.

Largest 10 diffraction maxima, low angle first, 2θ = 15–90°:
- 2θ = 19.99°, rel. 81, (1 1 -1)
- 2θ = 20.37°, rel. 73, (2 0 -2)
- 2θ = 20.52°, rel. 41, (1 0 2)
- 2θ = 22.27°, rel. 62, (1 0 -4)
- 2θ = 23.12°, rel. 54, (1 1 1)
- 2θ = 25.00°, rel. 45, (2 0 -4)
- 2θ = 25.58°, rel. 100, (0 1 3)
- 2θ = 31.54°, rel. 34, (1 1 3)
- 2θ = 31.73°, rel. 53, (2 1 1)
- 2θ = 35.44°, rel. 43, (3 1 -3)

Cell and atoms:
```
data_Mo3P4O16
_cell_length_a 8.758
_cell_length_b 5.161
_cell_length_c 15.971
_cell_angle_alpha 90.00
_cell_angle_beta 117.58
_cell_angle_gamma 90.00
_symmetry_space_group_name_H-M 'P 1 21/c 1'
_symmetry_Int_Tables_number 14
_symmetry_space_group_name_Hall '-P 2ybc'
loop_
_atom_site_label
_atom_site_fract_x
_atom_site_fract_y
_atom_site_fract_z
Mo1 0.000 0.000 0.000
Mo2 0.311 0.057 0.298
P1 0.033 0.506 0.148
P2 0.429 0.032 0.119
O1 0.015 0.666 0.939
O2 0.072 0.710 0.631
O3 0.126 0.001 0.333
O4 0.191 0.098 0.734
O5 0.250 0.070 0.033
O6 0.412 0.014 0.211
O7 0.447 0.743 0.377
O8 0.500 0.238 0.894
```